Record 1
Diffraction record for La2ZnSnO6. The powder X-ray diffraction pattern is simulated, not measured: it uses a DFT-relaxed cell (PBE, Alexandria) and Cu Kα (weighted mean of Kα1 and Kα2).
Kinematic intensities with the Lorentz-polarization factor, no thermal factor.

```
10
Lattice="2.903 1.676 4.612 -2.903 1.676 4.612 0.000 -3.352 4.612" Properties=species:S:1:pos:R:3 pbc="T T T"
La 0.000 0.000 3.451
La 0.000 0.000 10.385
Zn 0.000 0.000 6.918
Sn 0.000 0.000 0.000
O -0.538 -1.709 5.773
O -1.749 -0.389 8.063
O -1.212 1.320 5.773
O 1.212 -1.320 8.063
O 1.749 0.389 5.773
O 0.538 1.709 8.063
```

Principal peaks in the range 2θ from 10° to 90°, in order of rising 2θ:
2theta, I/Imax
30.80, 95
31.39, 100
44.55, 53
54.77, 27
55.14, 43
56.25, 19
64.16, 14
65.51, 16
73.18, 17
74.13, 18

Record 2
Diffraction record for KMn2Sb. The powder X-ray diffraction pattern is simulated, not measured: it uses a DFT-relaxed cell (PBE, Alexandria) and Cu Kα (weighted mean of Kα1 and Kα2).
Kinematic intensities with the Lorentz-polarization factor, no thermal factor.

```
4
Lattice="3.302 0.000 0.000 0.000 3.432 0.000 0.000 0.000 8.209" Properties=species:S:1:pos:R:3 pbc="T T T"
K 0.000 0.000 0.000
Mn 0.000 0.000 4.104
Mn 1.651 1.716 2.758
Sb 1.651 1.716 5.491
```

Principal peaks in the range 2θ from 10° to 90°, in order of rising 2θ:
2theta, I/Imax
10.78, 100
28.18, 13
32.73, 14
34.05, 35
34.87, 33
37.81, 52
39.43, 18
42.24, 19
42.93, 18
50.85, 15